Starting from a DFT-relaxed cell (PBE, Alexandria), the X-ray powder pattern of Na4SnO4 was simulated for Cu Kα (λ = 1.5418 Å).

Top 6 peaks for 2θ = 10–90°, sorted by position:
| d_spacing | 2theta | Rel. int. |
| --- | --- | --- |
| 5.246 | 16.90 | 100 |
| 4.721 | 18.80 | 99 |
| 4.613 | 19.24 | 86 |
| 2.789 | 32.09 | 89 |
| 2.407 | 37.36 | 85 |
| 2.365 | 38.04 | 88 |

Unit cell a=5.9465 b=5.9648 c=8.9596 alpha=82.42 beta=71.04 gamma=68.69
Space group P-1 (No. 2)
Asymmetric unit:
Na (0.0186, 0.2627, 0.4363) [2 per cell]
Na (0.1135, 0.7204, 0.1948) [2 per cell]
Na (0.2565, 0.2419, 0.0075) [2 per cell]
Na (0.4364, 0.2488, 0.5952) [2 per cell]
Sn (0.3415, 0.7226, 0.7652) [2 per cell]
O (0.1256, 0.5174, 0.8062) [2 per cell]
O (0.2004, 0.9847, 0.6215) [2 per cell]
O (0.3208, 0.4776, 0.3712) [2 per cell]
O (0.3511, 0.8405, 0.9573) [2 per cell]

***

Starting from a DFT-relaxed cell (PBE, Alexandria), the X-ray powder pattern of Na2SnO2 was simulated for Cu Kα (λ = 1.5418 Å).

Top 6 peaks for 2θ = 10–90°, sorted by position:
| d_spacing | 2theta | Rel. int. |
| --- | --- | --- |
| 4.880 | 18.18 | 64 |
| 3.808 | 23.36 | 100 |
| 2.825 | 31.67 | 75 |
| 2.766 | 32.36 | 74 |
| 2.334 | 38.57 | 88 |
| 1.745 | 52.43 | 63 |

Unit cell a=5.2567 b=6.7013 c=9.7596 alpha=90.00 beta=90.00 gamma=90.00
Space group P2_12_12_1 (No. 19)
Asymmetric unit:
Na (0.0082, 0.1231, 0.0768) [4 per cell]
Na (0.0103, 0.1310, 0.7587) [4 per cell]
Sn (0.0174, 0.6018, 0.0711) [4 per cell]
O (0.0015, 0.8925, 0.5802) [4 per cell]
O (0.0851, 0.3420, 0.5564) [4 per cell]

***

Starting from a DFT-relaxed cell (PBE, Alexandria), the X-ray powder pattern of Na4SnO3 was simulated for Cu Kα (λ = 1.5418 Å).

Top 6 peaks for 2θ = 10–90°, sorted by position:
| d_spacing | 2theta | Rel. int. |
| --- | --- | --- |
| 5.246 | 16.90 | 36 |
| 4.660 | 19.05 | 100 |
| 3.937 | 22.58 | 39 |
| 2.765 | 32.38 | 68 |
| 2.425 | 37.08 | 35 |
| 2.390 | 37.64 | 75 |

Unit cell a=5.8787 b=16.8511 c=5.9547 alpha=90.00 beta=110.10 gamma=90.00
Space group Cc (No. 9)
Asymmetric unit:
Na (0.0000, 0.0339, 0.0000) [4 per cell]
Na (0.0156, 0.4570, 0.0352) [4 per cell]
Na (0.0181, 0.2466, 0.0020) [4 per cell]
Na (0.4674, 0.3588, 0.0590) [4 per cell]
Sn (0.0220, 0.3565, 0.5029) [4 per cell]
O (0.2201, 0.3381, 0.2806) [4 per cell]
O (0.2551, 0.4335, 0.7394) [4 per cell]
O (0.2761, 0.0632, 0.7926) [4 per cell]